1.
Simulated powder diffractogram
Compound: LiH2N
Radiation: Cu Kα, 1.54184 Å
Structure: a structure optimized by DFT (GGA-PBE)
Intensities are scaled so that the largest is 1000.

Crystal structure
```
data_LiH2N
_chemical_formula_sum 'Li4 H8 N4'
_cell_length_a 3.8329
_cell_length_b 3.3598
_cell_length_c 11.3327
_cell_angle_alpha 90.00
_cell_angle_beta 96.06
_cell_angle_gamma 90.00
_space_group_name_H-M_alt 'P 1'
_space_group_IT_number 1
_space_group_name_Hall 'P 1'
loop_
_atom_site_label
_atom_site_type_symbol
_atom_site_fract_x
_atom_site_fract_y
_atom_site_fract_z
_atom_site_occupancy
Li1 Li 0.2425 0.2010 0.2291 1
Li2 Li 0.2425 0.2990 0.7291 1
Li3 Li 0.7575 0.7010 0.2709 1
Li4 Li 0.7575 0.7990 0.7709 1
H1 H 0.2083 0.5940 0.9059 1
H2 H 0.2083 0.9060 0.4059 1
H3 H 0.3874 0.0149 0.9019 1
H4 H 0.3874 0.4851 0.4019 1
H5 H 0.6126 0.5149 0.5981 1
H6 H 0.6126 0.9851 0.0981 1
H7 H 0.7917 0.0940 0.5941 1
H8 H 0.7917 0.4060 0.0941 1
N1 N 0.2808 0.7026 0.3452 1
N2 N 0.2808 0.7974 0.8452 1
N3 N 0.7192 0.2026 0.1548 1
N4 N 0.7192 0.2974 0.6548 1
```

Main lines, sorted by position (15° ≤ 2θ ≤ 90°):
15.73 deg, I = 1000; 26.82 deg, I = 568; 29.65 deg, I = 474; 30.99 deg, I = 819; 31.76 deg, I = 121; 35.62 deg, I = 191; 41.85 deg, I = 177; 46.65 deg, I = 156; 47.72 deg, I = 162; 50.23 deg, I = 192


2.
Simulated powder diffractogram
Compound: LiH2N
Radiation: Cu Kα, 1.54184 Å
Structure: a structure optimized by DFT (GGA-PBE)
Intensities are scaled so that the largest is 1000.

Crystal structure
```
data_LiH2N
_chemical_formula_sum 'Li4 H8 N4'
_cell_length_a 7.3610
_cell_length_b 3.1841
_cell_length_c 5.8124
_cell_angle_alpha 90.00
_cell_angle_beta 90.00
_cell_angle_gamma 90.00
_space_group_name_H-M_alt 'P 1'
_space_group_IT_number 1
_space_group_name_Hall 'P 1'
loop_
_atom_site_label
_atom_site_type_symbol
_atom_site_fract_x
_atom_site_fract_y
_atom_site_fract_z
_atom_site_occupancy
Li1 Li 0.0281 0.1672 0.0000 1
Li2 Li 0.4719 0.6672 0.5000 1
Li3 Li 0.5281 0.3328 0.0000 1
Li4 Li 0.9719 0.8328 0.5000 1
H1 H 0.1352 0.4097 0.7089 1
H2 H 0.2407 0.7948 0.8225 1
H3 H 0.2593 0.2948 0.3225 1
H4 H 0.3648 0.9097 0.2089 1
H5 H 0.6352 0.0903 0.7089 1
H6 H 0.7407 0.7052 0.8225 1
H7 H 0.7593 0.2052 0.3225 1
H8 H 0.8648 0.5903 0.2089 1
N1 N 0.1105 0.6876 0.7943 1
N2 N 0.3895 0.1876 0.2943 1
N3 N 0.6105 0.8124 0.7943 1
N4 N 0.8895 0.3124 0.2943 1
```

Main lines, sorted by position (15° ≤ 2θ ≤ 90°):
24.18 deg, I = 91; 28.71 deg, I = 1000; 30.77 deg, I = 233; 32.05 deg, I = 470; 37.34 deg, I = 181; 43.94 deg, I = 92; 49.14 deg, I = 229; 55.52 deg, I = 123; 59.44 deg, I = 91; 60.23 deg, I = 82